# 1
Diffraction record for Nd2TeMo6O46. The powder diffractogram is theoretical, not measured: it uses a cell relaxed with PBE+U and a wavelength of 1.5418 Å.

Largest 12 diffraction maxima, most intense first, 2θ = 5–70°:
Position (°2θ)  I_rel  hkl
7.64  100.0  0 0 1
12.43  41.9  1 1 1
18.53  30.3  1 2 1
23.17  22.8  2 2 1
10.41  22.0  1 0 0
32.34  17.5  1 0 4
20.31  17.5  2 1 1
31.82  16.4  2 0 -3
19.79  13.5  0 2 0
20.92  12.5  2 0 0
11.85  12.5  1 1 0
23.82  11.2  2 2 0

Crystal structure
Lattice parameters (Å, degrees): 9.0346 9.8776 12.0838 73.41 82.80 70.21
Space group P-1 (No. 2)
Inequivalent atoms, fractional coordinates:
Nd 0.2403 0.2782 0.1717
Te 0.0000 0.0000 0.0000
Mo 0.0864 0.1009 0.7087
Mo 0.2378 0.6859 0.1733
Mo 0.3068 0.7727 0.8776
O 0.0024 0.2964 0.3104
O 0.0185 0.3475 0.0551
O 0.0194 0.8891 0.4048
O 0.0349 0.7127 0.2524
O 0.0705 0.5670 0.6719
O 0.0813 0.7886 0.9930
O 0.1241 0.9307 0.1397
O 0.1443 0.5654 0.5762
O 0.1698 0.8779 0.7528
O 0.1762 0.0210 0.8955
O 0.2535 0.1452 0.6483
O 0.2544 0.4969 0.1688
O 0.2786 0.2861 0.9535
O 0.2916 0.2306 0.4300
O 0.3163 0.1162 0.3977
O 0.3341 0.5937 0.8722
O 0.3387 0.1415 0.9646
O 0.3425 0.7712 0.5127
O 0.3490 0.0602 0.0715
O 0.3588 0.6641 0.2796
O 0.3633 0.7362 0.0383
O 0.3674 0.6433 0.5701
O 0.4881 0.8097 0.8188

---

# 2
Diffraction record for Nd2TeMo6O42. The powder diffractogram is theoretical, not measured: it uses a cell relaxed with PBE+U and a wavelength of 1.5418 Å.

Largest 12 diffraction maxima, most intense first, 2θ = 5–70°:
Position (°2θ)  I_rel  hkl
8.81  100.0  0 1 0
18.00  91.1  1 0 1
9.04  87.2  0 0 1
11.88  59.2  1 0 0
28.70  57.9  2 1 -3
14.38  46.2  0 1 1
26.21  41.5  -2 2 2
23.97  33.7  2 0 0
16.56  27.1  1 -1 1
25.50  26.9  0 3 -1
17.35  25.8  1 1 0
15.39  24.9  1 1 -1

Crystal structure
Lattice parameters (Å, degrees): 8.7245 10.9705 11.1171 98.32 113.02 106.86
Space group P-1 (No. 2)
Inequivalent atoms, fractional coordinates:
Nd 0.0521 0.2632 0.2543
Te 0.5000 0.5000 0.0000
Mo 0.3605 0.5823 0.2296
Mo 0.4135 0.7788 0.0410
Mo 0.4789 0.3200 0.2048
O 0.0048 0.4752 0.6054
O 0.0187 0.8576 0.0852
O 0.0353 0.8247 0.4520
O 0.0449 0.0614 0.8893
O 0.0537 0.8020 0.5697
O 0.0856 0.4629 0.4502
O 0.1112 0.1671 0.6259
O 0.1668 0.4653 0.2341
O 0.2069 0.0952 0.4038
O 0.2227 0.8046 0.9143
O 0.2487 0.6579 0.0932
O 0.2701 0.2313 0.2119
O 0.2975 0.0320 0.3905
O 0.3184 0.4121 0.0499
O 0.3492 0.5737 0.8752
O 0.3536 0.7129 0.6759
O 0.4274 0.1863 0.0386
O 0.4441 0.3387 0.8536
O 0.4551 0.7142 0.3741
O 0.4729 0.5061 0.6885
O 0.4805 0.0817 0.8216

---

# 3
Diffraction record for NdTlMo2O8. The powder diffractogram is theoretical, not measured: it uses a cell relaxed with PBE+U and a wavelength of 1.5418 Å.

Largest 12 diffraction maxima, most intense first, 2θ = 5–70°:
Position (°2θ)  I_rel  hkl
26.91  100.0  1 1 2
27.83  38.0  2 0 0
48.67  37.2  3 1 2
46.96  24.1  2 0 4
39.77  16.1  2 2 0
55.47  13.7  2 2 4
60.79  10.2  1 1 6
65.06  9.2  4 2 0
64.59  9.0  3 3 2
37.04  6.3  0 0 4
57.50  5.0  4 0 0
33.50  4.5  2 0 2

Crystal structure
Lattice parameters (Å, degrees): 6.4112 6.4112 9.7072 90.00 90.00 90.00
Space group P4/nnc (No. 126, origin choice 2)
Inequivalent atoms, fractional coordinates:
Nd 0.2500 0.2500 0.2500
Tl 0.2500 0.2500 0.7500
Mo 0.2500 0.7500 0.0000
O 0.0538 0.6393 0.6107

---

# 4
Diffraction record for Nd2TlMo4O16. The powder diffractogram is theoretical, not measured: it uses a cell relaxed with PBE+U and a wavelength of 1.5418 Å.

Largest 12 diffraction maxima, most intense first, 2θ = 5–70°:
Position (°2θ)  I_rel  hkl
24.76  100.0  1 1 -4
25.87  96.0  1 1 4
28.13  78.4  1 1 -5
27.92  77.8  1 3 -2
28.42  73.5  1 3 2
30.48  71.3  0 2 6
27.18  66.2  1 3 1
33.02  64.8  2 0 0
29.37  63.2  1 1 5
26.92  57.4  1 3 -1
44.53  46.0  2 2 -6
29.47  44.6  0 4 2

Crystal structure
Lattice parameters (Å, degrees): 5.4322 12.7325 19.8451 90.00 92.68 90.00
Space group C2/c (No. 15)
Inequivalent atoms, fractional coordinates:
Nd 0.0012 0.1474 0.0333
Tl 0.0000 0.0250 0.2500
Mo 0.0126 0.4404 0.0921
Mo 0.0143 0.2591 0.6519
O 0.1041 0.4105 0.3302
O 0.1060 0.1346 0.8242
O 0.1563 0.3304 0.0459
O 0.1682 0.2405 0.5704
O 0.2235 0.3093 0.7151
O 0.2272 0.4530 0.6031
O 0.2444 0.0177 0.5374
O 0.2438 0.3474 0.8643

---

# 5
Diffraction record for NdY3Mo8O30. The powder diffractogram is theoretical, not measured: it uses a cell relaxed with PBE+U and a wavelength of 1.5418 Å.

Largest 12 diffraction maxima, most intense first, 2θ = 5–70°:
Position (°2θ)  I_rel  hkl
24.96  100.0  0 2 -2
20.69  48.4  1 1 2
24.28  41.6  1 0 -2
33.43  39.7  1 0 4
27.53  37.9  2 0 2
19.76  37.0  -1 1 1
26.03  31.2  1 2 2
19.31  31.2  0 1 -2
30.44  29.6  1 3 0
27.23  29.5  2 1 1
28.12  26.7  2 1 0
25.31  26.6  -1 2 1

Crystal structure
Lattice parameters (Å, degrees): 6.9591 9.8001 10.8007 89.96 74.52 89.94
Space group P1 (No. 1)
Inequivalent atoms, fractional coordinates:
Nd 0.0000 0.0000 0.0000
Y 0.5775 0.0461 0.5541
Y 0.5777 0.5005 0.0545
Y 0.9970 0.5470 0.5019
Mo 0.1672 0.9274 0.4344
Mo 0.1679 0.6152 0.9339
Mo 0.4050 0.1212 0.1245
Mo 0.4063 0.4272 0.6218
Mo 0.7033 0.7640 0.2916
Mo 0.7029 0.7780 0.7872
Mo 0.8652 0.2692 0.7648
Mo 0.8670 0.2817 0.2687
O 0.0046 0.3732 0.3601
O 0.0087 0.1808 0.8542
O 0.0282 0.3887 0.6581
O 0.0337 0.1626 0.1633
O 0.1741 0.7467 0.4266
O 0.1804 0.7956 0.9233
O 0.2374 0.5494 0.0690
O 0.2372 0.9956 0.5687
O 0.2857 0.0225 0.2787
O 0.2868 0.5215 0.7779
O 0.3368 0.4956 0.4876
O 0.3456 0.0531 0.9867
O 0.3993 0.2463 0.6297
O 0.3994 0.3018 0.1306
O 0.5434 0.8868 0.3973
O 0.5442 0.6578 0.8960
O 0.5651 0.8709 0.6962
O 0.5670 0.6740 0.1978
O 0.6612 0.0821 0.0977
O 0.6630 0.4662 0.5937
O 0.6702 0.3578 0.8788
O 0.6714 0.1899 0.3795
O 0.7609 0.1500 0.6756
O 0.7620 0.3964 0.1765
O 0.8062 0.8954 0.8772
O 0.8092 0.6482 0.3822
O 0.9015 0.6889 0.6766
O 0.9021 0.8529 0.1822
O 0.9099 0.5793 0.9634
O 0.9103 0.9667 0.4635